[1]
Calculated X-ray powder pattern
Compound: ZnBiAsO
Radiation: CuKα
Structure: a structure optimized by DFT (PBE)

Crystal structure
abc: 9.0613 16.9297 4.4582
angles: 90.00 90.00 90.00
Fractional positions:
Zn 0.0879 0.1247 0.0000
Zn 0.0923 0.6255 0.0000
Zn 0.4077 0.1255 0.0000
Zn 0.4121 0.6247 0.0000
Zn 0.5879 0.3753 0.0000
Zn 0.5923 0.8745 0.0000
Zn 0.9077 0.3745 0.0000
Zn 0.9121 0.8753 0.0000
Bi 0.2467 0.2550 0.5000
Bi 0.2492 0.4952 0.5000
Bi 0.2508 0.9952 0.5000
Bi 0.2533 0.7550 0.5000
Bi 0.7467 0.2450 0.5000
Bi 0.7492 0.0048 0.5000
Bi 0.7508 0.5048 0.5000
Bi 0.7533 0.7450 0.5000
As 0.0260 0.3754 0.5000
As 0.0300 0.8747 0.5000
As 0.4700 0.3747 0.5000
As 0.4740 0.8754 0.5000
As 0.5260 0.1246 0.5000
As 0.5300 0.6253 0.5000
As 0.9700 0.1253 0.5000
As 0.9740 0.6246 0.5000
O 0.2473 0.2119 0.0000
O 0.2485 0.0383 0.0000
O 0.2515 0.5383 0.0000
O 0.2527 0.7119 0.0000
O 0.7473 0.2881 0.0000
O 0.7485 0.4617 0.0000
O 0.7515 0.9617 0.0000
O 0.7527 0.7881 0.0000

Largest 10 diffraction maxima, by angle, 10° ≤ 2θ ≤ 90°:
- 2θ 19.92, rel. 44.9
- 2θ 28.08, rel. 22.4
- 2θ 28.87, rel. 100.0
- 2θ 29.09, rel. 34.4
- 2θ 35.32, rel. 66.1
- 2θ 40.47, rel. 27.8
- 2θ 42.73, rel. 20.5
- 2θ 44.88, rel. 26.3
- 2θ 50.47, rel. 42.8
- 2θ 63.69, rel. 20.4



[2]
Calculated X-ray powder pattern
Compound: Ho2ErFe8Ni
Radiation: CuKα
Structure: a structure optimized by DFT (PBE)

Crystal structure
abc: 8.6241 8.6241 8.6241
angles: 33.81 33.81 33.81
Fractional positions:
Ho 0.1417 0.1417 0.1417
Ho 0.8583 0.8583 0.8583
Er 0.0000 0.0000 0.0000
Fe 0.0796 0.5820 0.5820
Fe 0.3331 0.3331 0.3331
Fe 0.4180 0.4180 0.9204
Fe 0.4180 0.9204 0.4180
Fe 0.5820 0.0796 0.5820
Fe 0.5820 0.5820 0.0796
Fe 0.6669 0.6669 0.6669
Fe 0.9204 0.4180 0.4180
Ni 0.5000 0.5000 0.5000

Largest 10 diffraction maxima, by angle, 10° ≤ 2θ ≤ 90°:
- 2θ 20.77, rel. 12.6
- 2θ 32.97, rel. 47.3
- 2θ 35.81, rel. 52.3
- 2θ 36.01, rel. 35.1
- 2θ 41.76, rel. 33.8
- 2θ 42.35, rel. 100.0
- 2θ 62.56, rel. 15.3
- 2θ 68.85, rel. 29.4
- 2θ 69.17, rel. 12.5
- 2θ 75.89, rel. 18.5



[3]
Calculated X-ray powder pattern
Compound: Ho2Lu6Te
Radiation: CuKα
Structure: a structure optimized by DFT (PBE)

Crystal structure
abc: 9.0356 9.0356 3.7011
angles: 90.00 90.00 120.00
Fractional positions:
Ho 0.3333 0.6667 0.0000
Ho 0.6667 0.3333 0.0000
Lu 0.0000 0.2772 0.0000
Lu 0.0000 0.6139 0.5000
Lu 0.2772 0.0000 0.0000
Lu 0.3861 0.3861 0.5000
Lu 0.6139 0.0000 0.5000
Lu 0.7228 0.7228 0.0000
Te 0.0000 0.0000 0.5000

Largest 10 diffraction maxima, by angle, 10° ≤ 2θ ≤ 90°:
- 2θ 30.22, rel. 38.7
- 2θ 31.24, rel. 100.0
- 2θ 33.32, rel. 54.0
- 2θ 34.38, rel. 75.7
- 2θ 38.98, rel. 24.1
- 2θ 47.13, rel. 13.6
- 2θ 49.24, rel. 15.4
- 2θ 57.02, rel. 36.0
- 2θ 61.43, rel. 28.6
- 2θ 64.66, rel. 13.7



[4]
Calculated X-ray powder pattern
Compound: NdTa3O9
Radiation: CuKα
Structure: a structure optimized by DFT (PBE)

Crystal structure
abc: 5.3904 7.5396 8.2026
angles: 90.00 92.40 90.00
Fractional positions:
Nd 0.0340 0.2500 0.4352
Nd 0.9660 0.7500 0.5648
Ta 0.0000 0.0000 0.0000
Ta 0.0000 0.5000 0.0000
Ta 0.4719 0.0071 0.6996
Ta 0.4719 0.4929 0.6996
Ta 0.5281 0.5071 0.3004
Ta 0.5281 0.9929 0.3004
O 0.0917 0.2500 0.9801
O 0.1492 0.5594 0.7849
O 0.1492 0.9406 0.7849
O 0.2650 0.5400 0.4658
O 0.2650 0.9600 0.4658
O 0.3223 0.5521 0.1183
O 0.3223 0.9479 0.1183
O 0.3452 0.2500 0.6606
O 0.4375 0.2500 0.3093
O 0.5625 0.7500 0.6907
O 0.6548 0.7500 0.3394
O 0.6777 0.0521 0.8817
O 0.6777 0.4479 0.8817
O 0.7350 0.0400 0.5342
O 0.7350 0.4600 0.5342
O 0.8508 0.0594 0.2151
O 0.8508 0.4406 0.2151
O 0.9083 0.7500 0.0199

Largest 10 diffraction maxima, by angle, 10° ≤ 2θ ≤ 90°:
- 2θ 23.60, rel. 69.1
- 2θ 26.78, rel. 100.0
- 2θ 27.91, rel. 75.1
- 2θ 28.91, rel. 42.7
- 2θ 30.69, rel. 43.3
- 2θ 31.19, rel. 78.3
- 2θ 33.27, rel. 57.4
- 2θ 35.99, rel. 37.2
- 2θ 40.80, rel. 35.0
- 2θ 54.58, rel. 33.9



[5]
Calculated X-ray powder pattern
Compound: CsKCuAs
Radiation: CuKα
Structure: a structure optimized by DFT (PBE)

Crystal structure
abc: 6.4386 6.1815 6.7942
angles: 90.00 108.65 90.00
Fractional positions:
Cs 0.0297 0.2500 0.1778
Cs 0.9703 0.7500 0.8222
K 0.3232 0.7500 0.5058
K 0.6768 0.2500 0.4942
Cu 0.5000 0.0000 0.0000
Cu 0.5000 0.5000 0.0000
As 0.2959 0.2500 0.7515
As 0.7041 0.7500 0.2485

Largest 10 diffraction maxima, by angle, 10° ≤ 2θ ≤ 90°:
- 2θ 13.76, rel. 45.2
- 2θ 21.93, rel. 33.5
- 2θ 27.26, rel. 88.3
- 2θ 28.08, rel. 65.2
- 2θ 28.89, rel. 35.8
- 2θ 30.58, rel. 100.0
- 2θ 31.66, rel. 59.9
- 2θ 32.47, rel. 40.2
- 2θ 37.29, rel. 43.4
- 2θ 51.87, rel. 39.2



[6]
Calculated X-ray powder pattern
Compound: ZnH6C10N6Cl2
Radiation: CuKα
Structure: a structure optimized by DFT (PBE)

Crystal structure
abc: 11.3408 11.3408 7.3487
angles: 98.59 98.59 17.89
Fractional positions:
Zn 0.0000 0.0000 0.0000
H 0.0363 0.0363 0.4158
H 0.1316 0.1316 0.6523
H 0.1399 0.1399 0.9937
H 0.8601 0.8601 0.0063
H 0.8684 0.8684 0.3477
H 0.9637 0.9637 0.5842
C 0.0811 0.0811 0.3759
C 0.1337 0.1337 0.5050
C 0.1381 0.1381 0.1407
C 0.1903 0.1903 0.2725
C 0.2484 0.2484 0.2133
C 0.7516 0.7516 0.7867
C 0.8097 0.8097 0.7275
C 0.8619 0.8619 0.8593
C 0.8663 0.8663 0.4950
C 0.9189 0.9189 0.6241
N 0.0837 0.0837 0.1950
N 0.1884 0.1884 0.4546
N 0.2943 0.2943 0.1563
N 0.7057 0.7057 0.8437
N 0.8116 0.8116 0.5454
N 0.9163 0.9163 0.8050
Cl 0.4590 0.4590 0.1825
Cl 0.5410 0.5410 0.8175

Largest 10 diffraction maxima, by angle, 10° ≤ 2θ ≤ 90°:
- 2θ 12.18, rel. 39.6
- 2θ 13.53, rel. 100.0
- 2θ 21.60, rel. 41.7
- 2θ 25.58, rel. 25.5
- 2θ 28.15, rel. 39.5
- 2θ 28.71, rel. 41.8
- 2θ 29.92, rel. 34.1
- 2θ 35.28, rel. 30.0
- 2θ 37.26, rel. 27.1
- 2θ 38.85, rel. 24.9



[7]
Calculated X-ray powder pattern
Compound: TbHfCSe
Radiation: CuKα
Structure: a structure optimized by DFT (PBE)

Crystal structure
abc: 3.5734 3.5734 13.0247
angles: 90.00 90.00 120.00
Fractional positions:
Tb 0.0000 0.0000 0.1562
Tb 0.0000 0.0000 0.8438
Hf 0.3333 0.6667 0.3528
Hf 0.3333 0.6667 0.6472
C 0.6667 0.3333 0.2726
C 0.6667 0.3333 0.7274
Se 0.0000 0.0000 0.5000
Se 0.3333 0.6667 0.0000

Largest 10 diffraction maxima, by angle, 10° ≤ 2θ ≤ 90°:
- 2θ 28.85, rel. 28.1
- 2θ 29.67, rel. 13.1
- 2θ 35.63, rel. 100.0
- 2θ 41.60, rel. 11.1
- 2θ 51.12, rel. 26.8
- 2θ 51.42, rel. 10.0
- 2θ 57.82, rel. 8.2
- 2θ 63.87, rel. 18.4
- 2θ 67.95, rel. 15.7
- 2θ 86.09, rel. 16.5



[8]
Calculated X-ray powder pattern
Compound: Mg2AuS2
Radiation: CuKα
Structure: a structure optimized by DFT (PBE)

Crystal structure
abc: 4.5686 4.5686 4.7892
angles: 90.00 90.00 90.00
Fractional positions:
Mg 0.0000 0.5000 0.0000
Mg 0.5000 0.0000 0.0000
Au 0.0000 0.0000 0.5000
S 0.5000 0.5000 0.2629
S 0.5000 0.5000 0.7371

Largest 10 diffraction maxima, by angle, 10° ≤ 2θ ≤ 90°:
- 2θ 18.53, rel. 35.5
- 2θ 19.43, rel. 44.2
- 2θ 26.97, rel. 98.0
- 2θ 27.61, rel. 57.6
- 2θ 33.46, rel. 100.0
- 2θ 39.45, rel. 48.5
- 2θ 42.63, rel. 54.0
- 2θ 48.44, rel. 41.3
- 2θ 59.47, rel. 39.9
- 2θ 67.75, rel. 26.0



[9]
Calculated X-ray powder pattern
Compound: Hf2Mo4Pb3C3
Radiation: CuKα
Structure: a structure optimized by DFT (PBE)

Crystal structure
abc: 5.6912 5.6912 14.3951
angles: 101.06 101.06 60.04
Fractional positions:
Hf 0.0273 0.8593 0.5861
Hf 0.1407 0.9727 0.9139
Hf 0.8593 0.0273 0.0861
Hf 0.9727 0.1407 0.4139
Mo 0.1897 0.3591 0.0743
Mo 0.3105 0.4752 0.4255
Mo 0.3591 0.1897 0.5743
Mo 0.4752 0.3105 0.9255
Mo 0.5248 0.6895 0.0745
Mo 0.6409 0.8103 0.4257
Mo 0.6895 0.5248 0.5745
Mo 0.8103 0.6409 0.9257
Pb 0.0821 0.2688 0.7488
Pb 0.2688 0.0821 0.2488
Pb 0.4339 0.5661 0.7500
Pb 0.5661 0.4339 0.2500
Pb 0.7312 0.9179 0.7512
Pb 0.9179 0.7312 0.2512
C 0.0000 0.5000 0.5000
C 0.1687 0.6637 0.0000
C 0.3363 0.8313 0.5000
C 0.5000 0.0000 0.0000
C 0.6637 0.1687 0.5000
C 0.8313 0.3363 0.0000

Largest 10 diffraction maxima, by angle, 10° ≤ 2θ ≤ 90°:
- 2θ 31.43, rel. 34.8
- 2θ 36.92, rel. 100.0
- 2θ 37.07, rel. 48.9
- 2θ 38.48, rel. 27.9
- 2θ 55.94, rel. 22.4
- 2θ 55.98, rel. 10.2
- 2θ 68.61, rel. 7.9
- 2θ 68.84, rel. 15.5
- 2θ 69.79, rel. 14.5
- 2θ 70.08, rel. 9.4



[10]
Calculated X-ray powder pattern
Compound: HoTeAuO
Radiation: CuKα
Structure: a structure optimized by DFT (PBE)

Crystal structure
abc: 10.3403 5.6824 5.6846
angles: 90.00 90.00 90.00
Fractional positions:
Ho 0.1023 0.2500 0.0000
Ho 0.1023 0.7500 0.5000
Ho 0.8977 0.2500 0.5000
Ho 0.8977 0.7500 0.0000
Te 0.2769 0.2500 0.5010
Te 0.2769 0.7500 0.0010
Te 0.7231 0.2500 0.0010
Te 0.7231 0.7500 0.5010
Au 0.5000 0.0000 0.0009
Au 0.5000 0.0000 0.5009
Au 0.5000 0.5000 0.0009
Au 0.5000 0.5000 0.5009
O 0.0000 0.0000 0.2499
O 0.0000 0.0000 0.7499
O 0.0000 0.5000 0.2499
O 0.0000 0.5000 0.7499

Largest 10 diffraction maxima, by angle, 10° ≤ 2θ ≤ 90°:
- 2θ 17.15, rel. 38.7
- 2θ 28.12, rel. 93.0
- 2θ 31.48, rel. 100.0
- 2θ 32.69, rel. 77.4
- 2θ 34.27, rel. 97.0
- 2θ 36.07, rel. 58.7
- 2θ 46.01, rel. 66.1
- 2θ 48.61, rel. 34.9
- 2θ 54.90, rel. 41.7
- 2θ 57.86, rel. 43.0



[11]
Calculated X-ray powder pattern
Compound: NaCu3OsS4
Radiation: CuKα
Structure: a structure optimized by DFT (PBE)

Crystal structure
abc: 5.6624 5.6624 5.6624
angles: 90.00 90.00 90.00
Fractional positions:
Na 0.0000 0.0000 0.0000
Cu 0.0000 0.5000 0.5000
Cu 0.5000 0.0000 0.5000
Cu 0.5000 0.5000 0.0000
Os 0.5000 0.5000 0.5000
S 0.2690 0.2690 0.2690
S 0.2690 0.7310 0.7310
S 0.7310 0.2690 0.7310
S 0.7310 0.7310 0.2690

Largest 10 diffraction maxima, by angle, 10° ≤ 2θ ≤ 90°:
- 2θ 15.65, rel. 100.0
- 2θ 22.20, rel. 29.5
- 2θ 31.60, rel. 25.2
- 2θ 35.45, rel. 41.4
- 2θ 38.96, rel. 14.0
- 2θ 45.30, rel. 63.9
- 2θ 48.21, rel. 25.8
- 2θ 58.80, rel. 15.3
- 2θ 68.30, rel. 12.6
- 2θ 83.67, rel. 19.2



[12]
Calculated X-ray powder pattern
Compound: Er5CuTe3
Radiation: CuKα
Structure: a structure optimized by DFT (PBE)

Crystal structure
abc: 8.5368 8.5368 3.8416
angles: 90.00 90.00 120.00
Fractional positions:
Er 0.0000 0.2330 0.0000
Er 0.2330 0.0000 0.0000
Er 0.3333 0.6667 0.0000
Er 0.6667 0.3333 0.0000
Er 0.7670 0.7670 0.0000
Cu 0.0000 0.0000 0.5000
Te 0.0000 0.5650 0.5000
Te 0.4350 0.4350 0.5000
Te 0.5650 0.0000 0.5000

Largest 10 diffraction maxima, by angle, 10° ≤ 2θ ≤ 90°:
- 2θ 31.33, rel. 79.5
- 2θ 32.03, rel. 95.7
- 2θ 33.65, rel. 100.0
- 2θ 36.46, rel. 21.5
- 2θ 39.89, rel. 45.2
- 2θ 47.33, rel. 21.9
- 2θ 50.45, rel. 18.2
- 2θ 58.29, rel. 35.1
- 2θ 59.58, rel. 27.5
- 2θ 62.43, rel. 28.1



Which formula does entry 10 have? HoTeAuO